1.
For Li2Cr2O7, a cell relaxed with GGA+U gives the simulated PXRD pattern in this record (copper Kα).
Kinematic intensities with the Lorentz-polarization factor, no thermal factor.

Largest 10 diffraction maxima, by intensity, 2θ from 10° to 80°:
- 2θ = 28.71°, I 100, (0 0 4)
- 2θ = 30.22°, I 82, (2 1 0)
- 2θ = 20.28°, I 76, (1 1 1)
- 2θ = 15.17°, I 47, (1 0 1)
- 2θ = 18.98°, I 41, (1 1 0)
- 2θ = 27.91°, I 39, (2 0 1)
- 2θ = 34.61°, I 32, (1 1 4)
- 2θ = 30.61°, I 28, (2 0 2)
- 2θ = 42.14°, I 25, (2 1 4)
- 2θ = 31.08°, I 25, (2 1 1)

Atomic structure:
```
data_Li2Cr2O7
_symmetry_space_group_name_H-M 'P 41 21 2'
_symmetry_Int_Tables_number 92
_cell_length_a 6.614
_cell_length_b 6.614
_cell_length_c 12.455
_cell_angle_alpha 90.00
_cell_angle_beta 90.00
_cell_angle_gamma 90.00
loop_
_symmetry_equiv_pos_as_xyz
'x,y,z'
'-y+1/2,x+1/2,z+1/4'
'-x,-y,z+1/2'
'y+1/2,-x+1/2,z+3/4'
'x+1/2,-y+1/2,-z+3/4'
'-y,-x,-z+1/2'
'-x+1/2,y+1/2,-z+1/4'
'y,x,-z'
loop_
_atom_site_label
_atom_site_fract_x
_atom_site_fract_y
_atom_site_fract_z
Li1 0.113 0.353 0.118
Cr1 0.094 0.162 0.631
O1 0.040 0.049 0.874
O2 0.049 0.650 0.174
O3 0.132 0.292 0.292
O4 0.193 0.193 0.500
```



2.
For Li3CrO4, a cell relaxed with GGA+U gives the simulated PXRD pattern in this record (copper Kα).
Kinematic intensities with the Lorentz-polarization factor, no thermal factor.

Largest 10 diffraction maxima, by intensity, 2θ from 10° to 80°:
- 2θ = 23.28°, I 100, (1 1 1)
- 2θ = 41.57°, I 39, (2 0 2)
- 2θ = 22.13°, I 23, (0 2 0)
- 2θ = 45.15°, I 14, (0 4 0)
- 2θ = 63.04°, I 14, (2 4 2)
- 2θ = 36.55°, I 11, (0 2 2)
- 2θ = 47.59°, I 11, (2 2 2)
- 2θ = 29.41°, I 10, (2 0 0)
- 2θ = 48.63°, I 9, (3 1 1)
- 2θ = 28.72°, I 9, (0 0 2)

Atomic structure:
```
data_Li3CrO4
_symmetry_space_group_name_H-M 'C m c 21'
_symmetry_Int_Tables_number 36
_cell_length_a 6.075
_cell_length_b 8.033
_cell_length_c 6.217
_cell_angle_alpha 90.00
_cell_angle_beta 90.00
_cell_angle_gamma 90.00
loop_
_symmetry_equiv_pos_as_xyz
'x,y,z'
'-x,-y,z+1/2'
'-x,y,z'
'x,-y,z+1/2'
'x+1/2,y+1/2,z'
'-x+1/2,-y+1/2,z+1/2'
'-x+1/2,y+1/2,z'
'x+1/2,-y+1/2,z+1/2'
loop_
_atom_site_label
_atom_site_fract_x
_atom_site_fract_y
_atom_site_fract_z
Li1 0.000 0.228 0.000
Li2 0.242 0.500 0.263
Cr1 0.000 0.248 0.455
O1 0.000 0.040 0.538
O2 0.000 0.455 0.537
O3 0.225 0.249 0.278
```



3.
For Li3CrO4, a cell relaxed with GGA+U gives the simulated PXRD pattern in this record (copper Kα).
Kinematic intensities with the Lorentz-polarization factor, no thermal factor.

Largest 10 diffraction maxima, by intensity, 2θ from 10° to 80°:
- 2θ = 22.49°, I 100, (1 0 1)
- 2θ = 21.38°, I 92, (1 1 0)
- 2θ = 24.06°, I 64, (0 1 1)
- 2θ = 35.73°, I 52, (0 0 2)
- 2θ = 32.42°, I 50, (2 1 0)
- 2θ = 27.86°, I 47, (2 0 0)
- 2θ = 32.79°, I 29, (0 2 0)
- 2θ = 37.14°, I 29, (2 1 1)
- 2θ = 16.22°, I 28, (0 1 0)
- 2θ = 58.29°, I 27, (2 3 0)

Atomic structure:
```
data_Li3CrO4
_symmetry_space_group_name_H-M 'P m n 21'
_symmetry_Int_Tables_number 31
_cell_length_a 6.402
_cell_length_b 5.463
_cell_length_c 5.026
_cell_angle_alpha 90.00
_cell_angle_beta 90.00
_cell_angle_gamma 90.00
loop_
_symmetry_equiv_pos_as_xyz
'x,y,z'
'-x+1/2,-y,z+1/2'
'-x,y,z'
'x+1/2,-y,z+1/2'
loop_
_atom_site_label
_atom_site_fract_x
_atom_site_fract_y
_atom_site_fract_z
Li1 0.000 0.160 0.000
Li2 0.247 0.332 0.501
Cr1 0.000 0.828 0.509
O1 0.000 0.128 0.397
O2 0.000 0.819 0.853
O3 0.226 0.685 0.402
```



4.
For Li3CrO4, a cell relaxed with GGA+U gives the simulated PXRD pattern in this record (copper Kα).
Kinematic intensities with the Lorentz-polarization factor, no thermal factor.

Largest 10 diffraction maxima, by intensity, 2θ from 10° to 80°:
- 2θ = 18.70°, I 100, (0 1 1)
- 2θ = 43.72°, I 48, (2 2 0)
- 2θ = 36.19°, I 25, (2 1 1)
- 2θ = 22.19°, I 24, (0 0 2)
- 2θ = 64.75°, I 21, (2 2 4)
- 2θ = 45.26°, I 19, (0 0 4)
- 2θ = 30.36°, I 10, (0 2 0)
- 2θ = 30.70°, I 9, (2 0 0)
- 2θ = 57.81°, I 9, (2 3 1)
- 2θ = 49.56°, I 9, (2 2 2)

Atomic structure:
```
data_Li3CrO4
_symmetry_space_group_name_H-M 'I m m m'
_symmetry_Int_Tables_number 71
_symmetry_space_group_name_Hall '-I 2 2'
_cell_length_a 5.824
_cell_length_b 5.888
_cell_length_c 8.014
_cell_angle_alpha 90.00
_cell_angle_beta 90.00
_cell_angle_gamma 90.00
loop_
_atom_site_label
_atom_site_fract_x
_atom_site_fract_y
_atom_site_fract_z
Li1 0.000 0.250 0.250
Li2 0.250 0.000 0.000
Cr1 0.249 0.000 0.500
O1 0.000 0.228 0.500
O2 0.000 0.273 0.000
O3 0.249 0.000 0.277
```